The following is a calculated powder diffraction line list of La3InNiS7. It was derived from DFT lattice parameters and positions (GGA-PBE), using Cu Kα (weighted mean of Kα1 and Kα2).
Intensities are scaled so that the largest is 100.

Atomic structure:
```
data_La3InNiS7
_chemical_formula_sum 'La6 In2 Ni2 S14'
_cell_length_a 10.0966
_cell_length_b 10.0966
_cell_length_c 6.3671
_cell_angle_alpha 90.00
_cell_angle_beta 90.00
_cell_angle_gamma 120.00
_space_group_name_H-M_alt 'P 63'
_space_group_IT_number 173
_space_group_name_Hall 'P 6c'
loop_
_atom_site_label
_atom_site_type_symbol
_atom_site_fract_x
_atom_site_fract_y
_atom_site_fract_z
La1 La 0.1506 0.7787 0.0000
In1 In 0.3333 0.6667 0.5701
Ni1 Ni 0.0000 0.0000 0.1791
S1 S 0.0797 0.5136 0.7381
S2 S 0.0913 0.8720 0.4164
S3 S 0.3333 0.6667 0.1907
```

Most intense lines, 5° ≤ 2θ ≤ 70°, by angle:
24.7 deg, rel. 100, hkl 2 0 1; 28.0 deg, rel. 14, hkl 0 0 2; 33.8 deg, rel. 22, hkl 3 0 1; 34.9 deg, rel. 35, hkl 2 0 2; 35.6 deg, rel. 41, hkl 2 2 0; 39.3 deg, rel. 14, hkl 2 1 2; 39.8 deg, rel. 15, hkl 1 3 1; 43.8 deg, rel. 16, hkl 4 0 1; 47.6 deg, rel. 28, hkl 2 0 3; 57.7 deg, rel. 15, hkl 1 3 3

The following is a calculated powder diffraction line list of La4In21Pd10. It was derived from DFT lattice parameters and positions (GGA-PBE), using Cu Kα (weighted mean of Kα1 and Kα2).
Intensities are scaled so that the largest is 100.

Atomic structure:
```
data_La4In21Pd10
_chemical_formula_sum 'La8 In42 Pd20'
_cell_length_a 23.452
_cell_length_b 4.584
_cell_length_c 17.395
_cell_angle_alpha 90.00
_cell_angle_beta 124.58
_cell_angle_gamma 90.00
_space_group_name_H-M_alt 'C 1 2/m 1'
_space_group_IT_number 12
_space_group_name_Hall '-C 2y'
loop_
_atom_site_label
_atom_site_type_symbol
_atom_site_fract_x
_atom_site_fract_y
_atom_site_fract_z
La1 La 0.122 0.000 0.333
La2 La 0.230 0.000 0.826
In1 In 0.000 0.500 0.500
In2 In 0.009 0.000 0.093
In3 In 0.042 0.500 0.369
In4 In 0.065 0.000 0.798
In5 In 0.101 0.500 0.997
In6 In 0.115 0.500 0.704
In7 In 0.116 0.000 0.552
In8 In 0.130 0.500 0.198
In9 In 0.200 0.000 0.004
In10 In 0.201 0.500 0.501
In11 In 0.249 0.500 0.705
Pd1 Pd 0.006 0.500 0.187
Pd2 Pd 0.025 0.000 0.611
Pd3 Pd 0.136 0.000 0.106
Pd4 Pd 0.154 0.500 0.888
Pd5 Pd 0.250 0.000 0.615
```

Most intense lines, 5° ≤ 2θ ≤ 70°, by angle:
32.8 deg, rel. 49, hkl 5 1 -5; 33.1 deg, rel. 27, hkl 7 1 -3; 33.5 deg, rel. 72, hkl 5 1 1; 33.7 deg, rel. 40, hkl 7 1 -2; 33.8 deg, rel. 38, hkl 7 1 -4; 34.1 deg, rel. 68, hkl 1 1 4; 39.3 deg, rel. 100, hkl 0 2 0; 40.5 deg, rel. 38, hkl 1 1 -6; 41.4 deg, rel. 25, hkl 5 1 -7; 42.3 deg, rel. 31, hkl 9 1 -6

The following is a calculated powder diffraction line list of LaInPdPt. It was derived from DFT lattice parameters and positions (GGA-PBE), using Cu Kα (weighted mean of Kα1 and Kα2).
Intensities are scaled so that the largest is 100.

Atomic structure:
```
data_LaInPdPt
_chemical_formula_sum 'La2 In2 Pd2 Pt2'
_cell_length_a 4.6796
_cell_length_b 4.6796
_cell_length_c 9.4232
_cell_angle_alpha 90.00
_cell_angle_beta 90.00
_cell_angle_gamma 120.00
_space_group_name_H-M_alt 'P -3 m 1'
_space_group_IT_number 164
_space_group_name_Hall '-P 3 2"'
loop_
_atom_site_label
_atom_site_type_symbol
_atom_site_fract_x
_atom_site_fract_y
_atom_site_fract_z
La1 La 0.3333 0.6667 0.2562
In1 In 0.0000 0.0000 0.0000
In2 In 0.0000 0.0000 0.5000
Pd1 Pd 0.3333 0.6667 0.9234
Pt1 Pt 0.3333 0.6667 0.5892
```

Most intense lines, 5° ≤ 2θ ≤ 70°, by angle:
9.4 deg, rel. 12, hkl 0 0 1; 18.8 deg, rel. 10, hkl 0 0 2; 21.9 deg, rel. 13, hkl 1 0 0; 29.1 deg, rel. 21, hkl 0 1 2; 36.2 deg, rel. 100, hkl 0 1 3; 38.5 deg, rel. 91, hkl 1 1 0; 53.8 deg, rel. 32, hkl 2 0 3; 63.5 deg, rel. 16, hkl 1 0 6; 68.1 deg, rel. 31, hkl 1 2 3; 69.6 deg, rel. 16, hkl 3 0 0

The following is a calculated powder diffraction line list of LaInPdPt. It was derived from DFT lattice parameters and positions (GGA-PBE), using Cu Kα (weighted mean of Kα1 and Kα2).
Intensities are scaled so that the largest is 100.

Atomic structure:
```
data_LaInPdPt
_chemical_formula_sum 'La2 In2 Pd2 Pt2'
_cell_length_a 4.6821
_cell_length_b 4.6821
_cell_length_c 9.3909
_cell_angle_alpha 90.00
_cell_angle_beta 90.00
_cell_angle_gamma 120.00
_space_group_name_H-M_alt 'P -6 m 2'
_space_group_IT_number 187
_space_group_name_Hall 'P -6 2'
loop_
_atom_site_label
_atom_site_type_symbol
_atom_site_fract_x
_atom_site_fract_y
_atom_site_fract_z
La1 La 0.0000 0.0000 0.0000
La2 La 0.3333 0.6667 0.5000
In1 In 0.6667 0.3333 0.2510
Pd1 Pd 0.3333 0.6667 0.1649
Pt1 Pt 0.0000 0.0000 0.3283
```

Most intense lines, 5° ≤ 2θ ≤ 70°, by angle:
18.9 deg, rel. 11, hkl 0 0 2; 21.9 deg, rel. 19, hkl 1 0 0; 29.1 deg, rel. 17, hkl 1 0 2; 36.3 deg, rel. 100, hkl 1 0 3; 38.5 deg, rel. 91, hkl 1 1 0; 44.6 deg, rel. 8, hkl 2 0 0; 53.9 deg, rel. 33, hkl 2 0 3; 63.7 deg, rel. 15, hkl 1 0 6; 68.1 deg, rel. 32, hkl 2 1 3; 69.6 deg, rel. 16, hkl 3 0 0

The following is a calculated powder diffraction line list of La2In2PdPt3. It was derived from DFT lattice parameters and positions (GGA-PBE), using Cu Kα (weighted mean of Kα1 and Kα2).
Intensities are scaled so that the largest is 100.

Atomic structure:
```
data_La2In2PdPt3
_chemical_formula_sum 'La2 In2 Pd1 Pt3'
_cell_length_a 4.6859
_cell_length_b 4.6859
_cell_length_c 9.3946
_cell_angle_alpha 90.00
_cell_angle_beta 90.00
_cell_angle_gamma 120.00
_space_group_name_H-M_alt 'P 3 m 1'
_space_group_IT_number 156
_space_group_name_Hall 'P 3 -2"'
loop_
_atom_site_label
_atom_site_type_symbol
_atom_site_fract_x
_atom_site_fract_y
_atom_site_fract_z
La1 La 0.0000 0.0000 0.0000
La2 La 0.3333 0.6667 0.5065
In1 In 0.6667 0.3333 0.2569
In2 In 0.6667 0.3333 0.7552
Pd1 Pd 0.3333 0.6667 0.1713
Pt1 Pt 0.0000 0.0000 0.3338
Pt2 Pt 0.0000 0.0000 0.6710
Pt3 Pt 0.3333 0.6667 0.8426
```

Most intense lines, 5° ≤ 2θ ≤ 70°, by angle:
18.9 deg, rel. 12, hkl 0 0 2; 21.9 deg, rel. 17, hkl 1 0 0; 29.1 deg, rel. 13, hkl 1 0 2; 36.2 deg, rel. 100, hkl 1 0 3; 38.4 deg, rel. 89, hkl 1 1 0; 44.6 deg, rel. 9, hkl 1 0 4; 53.8 deg, rel. 33, hkl 0 2 3; 63.7 deg, rel. 14, hkl 0 1 6; 68.1 deg, rel. 32, hkl 2 1 3; 69.5 deg, rel. 15, hkl 3 0 0

The following is a calculated powder diffraction line list of Li2Mg2In2NiPd. It was derived from DFT lattice parameters and positions (GGA-PBE), using Cu Kα (weighted mean of Kα1 and Kα2).
Intensities are scaled so that the largest is 100.

Atomic structure:
```
data_Li2Mg2In2NiPd
_chemical_formula_sum 'Li2 Mg2 In2 Ni1 Pd1'
_cell_length_a 4.529
_cell_length_b 4.529
_cell_length_c 6.423
_cell_angle_alpha 90.00
_cell_angle_beta 90.00
_cell_angle_gamma 90.00
_space_group_name_H-M_alt 'P -4 m 2'
_space_group_IT_number 115
_space_group_name_Hall 'P -4 -2'
loop_
_atom_site_label
_atom_site_type_symbol
_atom_site_fract_x
_atom_site_fract_y
_atom_site_fract_z
Li1 Li 0.000 0.000 0.000
Li2 Li 0.500 0.500 0.500
Mg1 Mg 0.000 0.500 0.246
In1 In 0.000 0.500 0.762
Ni1 Ni 0.500 0.500 0.000
Pd1 Pd 0.000 0.000 0.500
```

Most intense lines, 5° ≤ 2θ ≤ 70°, by angle:
19.6 deg, rel. 2, hkl 1 0 0; 24.0 deg, rel. 69, hkl 1 0 1; 27.8 deg, rel. 6, hkl 1 1 0; 31.2 deg, rel. 2, hkl 1 1 1; 39.8 deg, rel. 100, hkl 2 0 0; 47.0 deg, rel. 33, hkl 2 1 1; 49.2 deg, rel. 2, hkl 2 0 2; 57.4 deg, rel. 5, hkl 0 0 4; 57.6 deg, rel. 11, hkl 2 2 0; 63.2 deg, rel. 13, hkl 3 0 1

The following is a calculated powder diffraction line list of Li2Mg2InPt2Pb. It was derived from DFT lattice parameters and positions (GGA-PBE), using Cu Kα (weighted mean of Kα1 and Kα2).
Intensities are scaled so that the largest is 100.

Atomic structure:
```
data_Li2Mg2InPt2Pb
_chemical_formula_sum 'Li2 Mg2 In1 Pt2 Pb1'
_cell_length_a 4.631
_cell_length_b 4.631
_cell_length_c 6.563
_cell_angle_alpha 90.00
_cell_angle_beta 90.00
_cell_angle_gamma 90.00
_space_group_name_H-M_alt 'P -4 m 2'
_space_group_IT_number 115
_space_group_name_Hall 'P -4 -2'
loop_
_atom_site_label
_atom_site_type_symbol
_atom_site_fract_x
_atom_site_fract_y
_atom_site_fract_z
Li1 Li 0.000 0.500 0.242
Mg1 Mg 0.000 0.000 0.000
Mg2 Mg 0.500 0.500 0.500
In1 In 0.500 0.500 0.000
Pt1 Pt 0.000 0.500 0.759
Pb1 Pb 0.000 0.000 0.500
```

Most intense lines, 5° ≤ 2θ ≤ 70°, by angle:
13.5 deg, rel. 1, hkl 0 0 1; 19.2 deg, rel. 2, hkl 1 0 0; 23.5 deg, rel. 87, hkl 1 0 1; 30.5 deg, rel. 3, hkl 1 1 1; 33.5 deg, rel. 2, hkl 1 0 2; 38.9 deg, rel. 100, hkl 2 0 0; 45.9 deg, rel. 45, hkl 2 1 1; 56.1 deg, rel. 6, hkl 0 0 4; 56.2 deg, rel. 12, hkl 2 2 0; 61.7 deg, rel. 19, hkl 3 0 1

The following is a calculated powder diffraction line list of Li2Mg2In2PdPt. It was derived from DFT lattice parameters and positions (GGA-PBE), using Cu Kα (weighted mean of Kα1 and Kα2).
Intensities are scaled so that the largest is 100.

Atomic structure:
```
data_Li2Mg2In2PdPt
_chemical_formula_sum 'Li2 Mg2 In2 Pd1 Pt1'
_cell_length_a 4.595
_cell_length_b 4.595
_cell_length_c 6.492
_cell_angle_alpha 90.00
_cell_angle_beta 90.00
_cell_angle_gamma 90.00
_space_group_name_H-M_alt 'P -4 m 2'
_space_group_IT_number 115
_space_group_name_Hall 'P -4 -2'
loop_
_atom_site_label
_atom_site_type_symbol
_atom_site_fract_x
_atom_site_fract_y
_atom_site_fract_z
Li1 Li 0.000 0.000 0.000
Li2 Li 0.500 0.500 0.500
Mg1 Mg 0.000 0.500 0.249
In1 In 0.000 0.500 0.749
Pd1 Pd 0.000 0.000 0.500
Pt1 Pt 0.500 0.500 0.000
```

Most intense lines, 5° ≤ 2θ ≤ 70°, by angle:
13.6 deg, rel. 4, hkl 0 0 1; 19.3 deg, rel. 4, hkl 1 0 0; 23.7 deg, rel. 82, hkl 1 0 1; 30.8 deg, rel. 2, hkl 1 1 1; 33.8 deg, rel. 2, hkl 1 0 2; 39.2 deg, rel. 100, hkl 2 0 0; 41.7 deg, rel. 1, hkl 0 0 3; 46.4 deg, rel. 41, hkl 2 1 1; 56.7 deg, rel. 17, hkl 2 2 0; 62.3 deg, rel. 17, hkl 3 0 1